# SrFeMoO5
Theoretical XRD peak list, Cu Kα X-rays. Input: a structure optimized by DFT (PBE+U).

Peak list (10 most intense, 10 to 90 degrees two-theta, in order of rising 2θ)
(0 1 0), d 4.474, rel. 29
(1 -1 0), d 3.548, rel. 100
(1 1 -1), d 3.357, rel. 90
(1 0 1), d 2.895, rel. 33
(0 1 1), d 2.841, rel. 35
(0 1 -2), d 2.804, rel. 41
(1 0 -2), d 2.719, rel. 37
(2 0 -1), d 2.414, rel. 25
(1 -2 2), d 1.897, rel. 19
(2 1 0), d 1.859, rel. 28

Crystal structure
```
SrFeMoO5
1.0
4.845 0.000 0.000
-0.270 4.929 0.000
-1.949 -2.393 5.164
Sr Fe Mo O
1 1 1 5
Direct
0.000 0.000 0.000
0.298 0.412 0.628
0.659 0.782 0.378
0.343 0.473 0.303
0.488 0.711 0.009
0.595 0.082 0.636
0.925 0.627 0.567
0.987 0.034 0.395
```